(1)
This entry pairs a crystal structure of La5Tl6 with its computed powder X-ray diffraction pattern. Radiation: copper Kα. Structure: the PBE geometry in Alexandria.
No peak broadening, texture or thermal motion is included.

Structure:
```
data_La5Tl6
_space_group_name_H-M_alt 'I m m m'
_space_group_IT_number 71
_space_group_name_Hall '-I 2 2'
_cell_length_a 5.528
_cell_length_b 7.935
_cell_length_c 17.005
_cell_angle_alpha 90.00
_cell_angle_beta 90.00
_cell_angle_gamma 90.00
loop_
_atom_site_label
_atom_site_type_symbol
_atom_site_fract_x
_atom_site_fract_y
_atom_site_fract_z
La1 La 0.000 0.000 0.000
La2 La 0.000 0.000 0.359
La3 La 0.000 0.500 0.321
Tl1 Tl 0.000 0.244 0.166
Tl2 Tl 0.000 0.276 0.500
```

Main lines, by angle (15° ≤ 2θ ≤ 90°):
2θ (°)	I (rel.)	hkl
22.45	149	1 0 3
31.57	234	0 0 6
31.94	1000	1 2 3
32.39	258	2 0 0
45.74	90	0 4 0
45.86	169	2 0 6
56.45	148	1 2 9
57.16	94	2 4 0
57.50	191	3 2 3
66.77	100	2 4 6

***

(2)
This entry pairs a crystal structure of La6Tl with its computed powder X-ray diffraction pattern. Radiation: copper Kα. Structure: the PBE geometry in Alexandria.
No peak broadening, texture or thermal motion is included.

Structure:
```
data_La6Tl
_space_group_name_H-M_alt 'I m -3 m'
_space_group_IT_number 229
_space_group_name_Hall '-I 4 2 3'
_cell_length_a 8.327
_cell_length_b 8.327
_cell_length_c 8.327
_cell_angle_alpha 90.00
_cell_angle_beta 90.00
_cell_angle_gamma 90.00
loop_
_atom_site_label
_atom_site_type_symbol
_atom_site_fract_x
_atom_site_fract_y
_atom_site_fract_z
La1 La 0.000 0.250 0.500
Tl1 Tl 0.000 0.000 0.000
```

Main lines, by angle (15° ≤ 2θ ≤ 90°):
2θ (°)	I (rel.)	hkl
21.34	413	2 0 0
26.22	1000	2 1 1
37.41	226	2 2 2
40.54	632	3 2 1
43.47	301	4 0 0
48.92	184	4 2 0
51.48	159	3 3 2
60.94	191	5 2 1
63.17	198	4 4 0
69.60	193	6 1 1

***

(3)
This entry pairs a crystal structure of La8Tl3 with its computed powder X-ray diffraction pattern. Radiation: copper Kα. Structure: the PBE geometry in Alexandria.
No peak broadening, texture or thermal motion is included.

Structure:
```
data_La8Tl3
_space_group_name_H-M_alt 'C 1 2/m 1'
_space_group_IT_number 12
_cell_length_a 13.246
_cell_length_b 3.908
_cell_length_c 15.141
_cell_angle_alpha 90.00
_cell_angle_beta 108.09
_cell_angle_gamma 90.00
loop_
_space_group_symop_operation_xyz
'x,y,z'
'-x,-y,-z'
'-x,y,-z'
'x,-y,z'
'x+1/2,y+1/2,z'
'-x+1/2,-y+1/2,-z'
'-x+1/2,y+1/2,-z'
'x+1/2,-y+1/2,z'
loop_
_atom_site_label
_atom_site_type_symbol
_atom_site_fract_x
_atom_site_fract_y
_atom_site_fract_z
La1 La 0.034 0.000 0.330
La2 La 0.116 0.000 0.980
La3 La 0.204 0.500 0.800
La4 La 0.217 0.000 0.596
Tl1 Tl 0.000 0.500 0.500
Tl2 Tl 0.076 0.500 0.164
```

Main lines, by angle (15° ≤ 2θ ≤ 90°):
2θ (°)	I (rel.)	hkl
28.93	168	1 1 -3
29.85	357	2 0 -5
30.91	512	4 0 1
31.11	1000	3 1 -2
31.70	954	1 1 3
44.41	179	2 0 6
46.48	190	0 2 0
54.72	131	7 1 -1
55.84	174	5 1 4
56.86	185	4 2 1

***

(4)
This entry pairs a crystal structure of La2Tl with its computed powder X-ray diffraction pattern. Radiation: copper Kα. Structure: the PBE geometry in Alexandria.
No peak broadening, texture or thermal motion is included.

Structure:
```
data_La2Tl
_space_group_name_H-M_alt 'C 1 m 1'
_space_group_IT_number 8
_cell_length_a 12.775
_cell_length_b 3.774
_cell_length_c 8.587
_cell_angle_alpha 90.00
_cell_angle_beta 106.36
_cell_angle_gamma 90.00
loop_
_space_group_symop_operation_xyz
'x,y,z'
'x,-y,z'
'x+1/2,y+1/2,z'
'x+1/2,-y+1/2,z'
loop_
_atom_site_label
_atom_site_type_symbol
_atom_site_fract_x
_atom_site_fract_y
_atom_site_fract_z
La1 La 0.000 0.000 0.000
La2 La 0.021 0.000 0.572
La3 La 0.178 0.500 0.325
La4 La 0.301 0.000 0.680
Tl1 Tl 0.204 0.500 0.931
Tl2 Tl 0.382 0.000 0.242
```

Main lines, by angle (15° ≤ 2θ ≤ 90°):
2θ (°)	I (rel.)	hkl
27.81	266	1 1 1
29.33	351	2 0 2
31.08	511	4 0 -2
31.58	1000	1 1 -2
32.29	873	3 1 0
32.60	258	0 0 3
33.96	235	4 0 1
48.22	184	0 2 0
51.09	251	3 1 3
62.31	181	2 0 5

***

(5)
This entry pairs a crystal structure of La3Tl5 with its computed powder X-ray diffraction pattern. Radiation: copper Kα. Structure: the PBE geometry in Alexandria.
No peak broadening, texture or thermal motion is included.

Structure:
```
data_La3Tl5
_space_group_name_H-M_alt 'C m c m'
_space_group_IT_number 63
_space_group_name_Hall '-C 2c 2'
_cell_length_a 10.583
_cell_length_b 8.529
_cell_length_c 10.824
_cell_angle_alpha 90.00
_cell_angle_beta 90.00
_cell_angle_gamma 90.00
loop_
_atom_site_label
_atom_site_type_symbol
_atom_site_fract_x
_atom_site_fract_y
_atom_site_fract_z
La1 La 0.000 0.123 0.250
La2 La 0.205 0.500 0.000
Tl1 Tl 0.000 0.197 0.545
Tl2 Tl 0.000 0.494 0.750
Tl3 Tl 0.216 0.213 0.750
```

Main lines, by angle (15° ≤ 2θ ≤ 90°):
2θ (°)	I (rel.)	hkl
28.13	187	1 1 3
31.61	1000	2 2 2
32.05	207	3 1 2
32.61	255	1 3 0
33.10	294	0 0 4
33.88	248	4 0 0
36.78	162	2 2 3
37.17	227	3 1 3
54.00	163	5 3 0
62.91	164	3 5 2

***

(6)
This entry pairs a crystal structure of La4Tm3Tl4 with its computed powder X-ray diffraction pattern. Radiation: copper Kα. Structure: the PBE geometry in Alexandria.
No peak broadening, texture or thermal motion is included.

Structure:
```
data_La4Tm3Tl4
_space_group_name_H-M_alt 'I m m m'
_space_group_IT_number 71
_space_group_name_Hall '-I 2 2'
_cell_length_a 3.614
_cell_length_b 9.505
_cell_length_c 19.832
_cell_angle_alpha 90.00
_cell_angle_beta 90.00
_cell_angle_gamma 90.00
loop_
_atom_site_label
_atom_site_type_symbol
_atom_site_fract_x
_atom_site_fract_y
_atom_site_fract_z
La1 La 0.000 0.166 0.161
Tm1 Tm 0.000 0.000 0.409
Tm2 Tm 0.000 0.500 0.500
Tl1 Tl 0.000 0.280 0.000
Tl2 Tl 0.000 0.500 0.218
```

Main lines, by angle (15° ≤ 2θ ≤ 90°):
2θ (°)	I (rel.)	hkl
31.31	919	0 3 3
31.42	1000	1 2 1
32.06	993	1 1 4
33.00	946	0 2 6
33.55	622	1 0 5
38.89	498	1 3 2
44.91	387	1 2 7
50.51	316	2 0 0
57.88	299	1 5 4
60.63	586	1 2 11

***

(7)
This entry pairs a crystal structure of La2Tl2V with its computed powder X-ray diffraction pattern. Radiation: copper Kα. Structure: the PBE geometry in Alexandria.
No peak broadening, texture or thermal motion is included.

Structure:
```
data_La2Tl2V
_space_group_name_H-M_alt 'P 4/m b m'
_space_group_IT_number 127
_space_group_name_Hall '-P 4 2ab'
_cell_length_a 7.899
_cell_length_b 7.899
_cell_length_c 4.777
_cell_angle_alpha 90.00
_cell_angle_beta 90.00
_cell_angle_gamma 90.00
loop_
_atom_site_label
_atom_site_type_symbol
_atom_site_fract_x
_atom_site_fract_y
_atom_site_fract_z
La1 La 0.165 0.335 0.000
Tl1 Tl 0.141 0.641 0.500
V1 V 0.000 0.000 0.500
```

Main lines, by angle (15° ≤ 2θ ≤ 90°):
2θ (°)	I (rel.)	hkl
15.87	155	1 1 0
31.50	1000	2 1 1
35.95	231	3 1 0
37.66	156	0 0 2
45.94	87	4 0 0
51.39	102	4 1 1
53.05	151	3 1 2
63.34	85	3 3 2
64.16	132	2 1 3
66.70	158	5 2 1

***

(8)
This entry pairs a crystal structure of La3YTl4 with its computed powder X-ray diffraction pattern. Radiation: copper Kα. Structure: the PBE geometry in Alexandria.
No peak broadening, texture or thermal motion is included.

Structure:
```
data_La3YTl4
_space_group_name_H-M_alt 'P 4/m m m'
_space_group_IT_number 123
_space_group_name_Hall '-P 4 2'
_cell_length_a 3.859
_cell_length_b 3.859
_cell_length_c 16.371
_cell_angle_alpha 90.00
_cell_angle_beta 90.00
_cell_angle_gamma 90.00
loop_
_atom_site_label
_atom_site_type_symbol
_atom_site_fract_x
_atom_site_fract_y
_atom_site_fract_z
La1 La 0.000 0.000 0.000
La2 La 0.000 0.000 0.258
Y1 Y 0.000 0.000 0.500
Tl1 Tl 0.500 0.500 0.130
Tl2 Tl 0.500 0.500 0.388
```

Main lines, by angle (15° ≤ 2θ ≤ 90°):
2θ (°)	I (rel.)	hkl
31.87	1000	1 0 4
32.82	488	1 1 0
44.26	88	0 0 8
47.10	184	2 0 0
56.19	177	1 1 8
58.00	368	2 1 4
66.62	107	2 0 8
73.65	64	1 0 12
77.84	78	3 0 4
78.36	83	3 1 0

***

(9)
This entry pairs a crystal structure of La3YTl with its computed powder X-ray diffraction pattern. Radiation: copper Kα. Structure: the PBE geometry in Alexandria.
No peak broadening, texture or thermal motion is included.

Structure:
```
data_La3YTl
_space_group_name_H-M_alt 'I m m 2'
_space_group_IT_number 44
_cell_length_a 5.206
_cell_length_b 9.497
_cell_length_c 6.939
_cell_angle_alpha 90.00
_cell_angle_beta 90.00
_cell_angle_gamma 90.00
loop_
_space_group_symop_operation_xyz
'x,y,z'
'-x,-y,z'
'-x,y,z'
'x,-y,z'
'x+1/2,y+1/2,z+1/2'
'-x+1/2,-y+1/2,z+1/2'
'-x+1/2,y+1/2,z+1/2'
'x+1/2,-y+1/2,z+1/2'
loop_
_atom_site_label
_atom_site_type_symbol
_atom_site_fract_x
_atom_site_fract_y
_atom_site_fract_z
La1 La 0.000 0.000 0.000
La2 La 0.000 0.302 0.283
Y1 Y 0.000 0.500 0.790
Tl1 Tl 0.000 0.000 0.542
```

Main lines, by angle (15° ≤ 2θ ≤ 90°):
2θ (°)	I (rel.)	hkl
18.69	170	0 2 0
28.51	692	1 2 1
31.05	183	0 3 1
31.95	419	0 2 2
32.41	1000	1 1 2
33.12	418	1 3 0
34.46	413	2 0 0
47.06	179	2 3 1
47.69	278	2 2 2
58.14	444	1 5 2

***

(10)
This entry pairs a crystal structure of La14YTl with its computed powder X-ray diffraction pattern. Radiation: copper Kα. Structure: the PBE geometry in Alexandria.
No peak broadening, texture or thermal motion is included.

Structure:
```
data_La14YTl
_space_group_name_H-M_alt 'C m m m'
_space_group_IT_number 65
_space_group_name_Hall '-C 2 2'
_cell_length_a 10.377
_cell_length_b 10.391
_cell_length_c 10.423
_cell_angle_alpha 90.00
_cell_angle_beta 90.00
_cell_angle_gamma 90.00
loop_
_atom_site_label
_atom_site_type_symbol
_atom_site_fract_x
_atom_site_fract_y
_atom_site_fract_z
La1 La 0.000 0.000 0.000
La2 La 0.000 0.246 0.255
La3 La 0.000 0.500 0.000
La4 La 0.245 0.000 0.255
La5 La 0.250 0.250 0.000
La6 La 0.250 0.250 0.500
Y1 Y 0.000 0.500 0.500
Tl1 Tl 0.000 0.000 0.500
```

Main lines, by angle (15° ≤ 2θ ≤ 90°):
2θ (°)	I (rel.)	hkl
29.77	1000	2 2 2
34.42	169	0 0 4
34.55	337	4 0 0
49.57	241	4 0 4
49.67	120	4 4 0
58.81	143	2 2 6
58.98	285	6 2 2
61.83	123	4 4 4
80.49	114	6 2 6
80.65	57	6 6 2

***

(11)
This entry pairs a crystal structure of La6Y8Tl with its computed powder X-ray diffraction pattern. Radiation: copper Kα. Structure: the PBE geometry in Alexandria.
No peak broadening, texture or thermal motion is included.

Structure:
```
data_La6Y8Tl
_space_group_name_H-M_alt 'P -3'
_space_group_IT_number 147
_cell_length_a 9.6590
_cell_length_b 9.6590
_cell_length_c 6.4533
_cell_angle_alpha 90.00
_cell_angle_beta 90.00
_cell_angle_gamma 120.00
loop_
_space_group_symop_operation_xyz
'x,y,z'
'-x,-y,-z'
'-y,x-y,z'
'y,-x+y,-z'
'-x+y,-x,z'
'x-y,x,-z'
loop_
_atom_site_label
_atom_site_type_symbol
_atom_site_fract_x
_atom_site_fract_y
_atom_site_fract_z
La1 La 0.0890 0.4527 0.3116
Y1 Y 0.0410 0.2591 0.8082
Y2 Y 0.3333 0.6667 0.8211
Tl1 Tl 0.0000 0.0000 0.5000
```

Main lines, by angle (15° ≤ 2θ ≤ 90°):
2θ (°)	I (rel.)	hkl
25.38	194	2 0 1
27.65	117	0 0 2
28.23	216	2 1 0
29.68	127	1 0 2
31.51	1000	3 -2 1
33.40	198	1 1 2
39.92	178	3 -2 2
49.96	207	1 4 0
51.38	78	2 1 3
60.28	119	4 2 1

***

(12)
This entry pairs a crystal structure of La2Y2Tl3 with its computed powder X-ray diffraction pattern. Radiation: copper Kα. Structure: the PBE geometry in Alexandria.
No peak broadening, texture or thermal motion is included.

Structure:
```
data_La2Y2Tl3
_space_group_name_H-M_alt 'C m m m'
_space_group_IT_number 65
_space_group_name_Hall '-C 2 2'
_cell_length_a 3.598
_cell_length_b 33.280
_cell_length_c 3.602
_cell_angle_alpha 90.00
_cell_angle_beta 90.00
_cell_angle_gamma 90.00
loop_
_atom_site_label
_atom_site_type_symbol
_atom_site_fract_x
_atom_site_fract_y
_atom_site_fract_z
La1 La 0.000 0.071 0.000
Y1 Y 0.000 0.203 0.000
Tl1 Tl 0.000 0.359 0.500
Tl2 Tl 0.000 0.500 0.500
```

Main lines, by angle (15° ≤ 2θ ≤ 90°):
2θ (°)	I (rel.)	hkl
29.57	435	0 6 1
31.17	1000	1 7 0
32.89	593	0 8 1
35.36	758	1 1 1
37.85	276	0 14 0
50.72	269	2 0 0
54.89	326	1 15 1
60.72	301	1 7 2
61.81	195	2 8 1
64.99	218	2 14 0

***

(13)
This entry pairs a crystal structure of LaTlZn with its computed powder X-ray diffraction pattern. Radiation: copper Kα. Structure: the PBE geometry in Alexandria.
No peak broadening, texture or thermal motion is included.

Structure:
```
data_LaTlZn
_space_group_name_H-M_alt 'C 1 2/m 1'
_space_group_IT_number 12
_cell_length_a 9.042
_cell_length_b 5.226
_cell_length_c 6.674
_cell_angle_alpha 90.00
_cell_angle_beta 90.00
_cell_angle_gamma 90.00
loop_
_space_group_symop_operation_xyz
'x,y,z'
'-x,-y,-z'
'-x,y,-z'
'x,-y,z'
'x+1/2,y+1/2,z'
'-x+1/2,-y+1/2,-z'
'-x+1/2,y+1/2,-z'
'x+1/2,-y+1/2,z'
loop_
_atom_site_label
_atom_site_type_symbol
_atom_site_fract_x
_atom_site_fract_y
_atom_site_fract_z
La1 La 0.167 0.000 0.250
Tl1 Tl 0.000 0.500 0.000
Tl2 Tl 0.000 0.500 0.500
Zn1 Zn 0.167 0.000 0.749
```

Main lines, by angle (15° ≤ 2θ ≤ 90°):
2θ (°)	I (rel.)	hkl
19.63	175	1 1 0
33.37	1000	2 0 -2
34.34	836	3 1 0
48.63	350	2 2 -2
60.88	358	5 1 -2
61.50	155	6 0 0
66.50	245	3 1 4
72.37	95	6 2 0
82.06	154	5 3 -2
87.12	120	6 0 4

***

(14)
This entry pairs a crystal structure of LaTlZn with its computed powder X-ray diffraction pattern. Radiation: copper Kα. Structure: the PBE geometry in Alexandria.
No peak broadening, texture or thermal motion is included.

Structure:
```
data_LaTlZn
_space_group_name_H-M_alt 'C 1 2/m 1'
_space_group_IT_number 12
_cell_length_a 11.350
_cell_length_b 4.847
_cell_length_c 7.807
_cell_angle_alpha 90.00
_cell_angle_beta 132.75
_cell_angle_gamma 90.00
loop_
_space_group_symop_operation_xyz
'x,y,z'
'-x,-y,-z'
'-x,y,-z'
'x,-y,z'
'x+1/2,y+1/2,z'
'-x+1/2,-y+1/2,-z'
'-x+1/2,y+1/2,-z'
'x+1/2,-y+1/2,z'
loop_
_atom_site_label
_atom_site_type_symbol
_atom_site_fract_x
_atom_site_fract_y
_atom_site_fract_z
La1 La 0.030 0.000 0.279
Tl1 Tl 0.175 0.500 0.728
Zn1 Zn 0.151 0.500 0.109
```

Main lines, by angle (15° ≤ 2θ ≤ 90°):
2θ (°)	I (rel.)	hkl
15.65	212	2 0 -1
21.58	339	1 1 -1
30.42	453	1 1 1
31.21	707	0 0 2
31.42	1000	3 1 -2
37.10	512	0 2 0
37.30	881	3 1 0
49.24	273	0 2 2
51.51	213	3 1 -4
63.36	216	3 3 -2